# 1
Starting from the GGA-PBE geometry in the Materials Project, the XRD peak list of BaLa7Mg5Nb3O24 was computed for CuKα.

The 10 most intense peaks (15 to 90 degrees two-theta), low angle first:
2θ (°)	intensity	(hkl)
19.02	8.4	1 1 -1
22.00	24.0	1 2 1
31.30	100.0	1 1 3
31.39	21.6	1 3 -1
38.57	16.3	2 0 2
44.87	35.9	-2 2 2
55.68	30.5	3 1 -3
55.81	16.0	3 4 -1
65.25	9.4	4 2 0
74.24	6.5	4 5 2

Atomic structure:
a b c (Å): 5.7180 9.8742 9.9107
angles (deg): 80.28 89.96 73.23
Space group P1 (No. 1)
Asymmetric unit:
1 Ba 0.0000 0.0000 0.0000 [1 per cell]
2 La 0.1399 0.7395 0.3809 [1 per cell]
3 La 0.2455 0.5022 0.7386 [1 per cell]
4 La 0.3715 0.2546 0.1095 [1 per cell]
5 La 0.5158 0.9699 0.4952 [1 per cell]
6 La 0.6350 0.7412 0.8452 [1 per cell]
7 La 0.7522 0.5176 0.2585 [1 per cell]
8 La 0.8621 0.2805 0.6076 [1 per cell]
9 Mg 0.0654 0.8790 0.6801 [1 per cell]
10 Mg 0.3185 0.3748 0.4314 [1 per cell]
11 Mg 0.5674 0.8761 0.1817 [1 per cell]
12 Mg 0.6910 0.6265 0.5563 [1 per cell]
13 Mg 0.8142 0.3764 0.9310 [1 per cell]
14 Nb 0.1952 0.6230 0.0569 [1 per cell]
15 Nb 0.4356 0.1231 0.8026 [1 per cell]
16 Nb 0.9466 0.1287 0.3108 [1 per cell]
17 O 0.0587 0.0319 0.5040 [1 per cell]
18 O 0.0756 0.7211 0.8630 [1 per cell]
19 O 0.1475 0.2665 0.3158 [1 per cell]
20 O 0.1686 0.2717 0.8838 [1 per cell]
21 O 0.2364 0.9963 0.7827 [1 per cell]
22 O 0.2448 0.0026 0.2426 [1 per cell]
23 O 0.3172 0.2311 0.6146 [1 per cell]
24 O 0.3261 0.5200 0.2488 [1 per cell]
25 O 0.4117 0.7706 0.6365 [1 per cell]
26 O 0.4150 0.7473 0.0648 [1 per cell]
27 O 0.4580 0.4822 0.9717 [1 per cell]
28 O 0.4748 0.4905 0.5421 [1 per cell]
29 O 0.5203 0.0353 0.0056 [1 per cell]
30 O 0.5547 0.7363 0.3591 [1 per cell]
31 O 0.6564 0.2566 0.8134 [1 per cell]
32 O 0.6665 0.2583 0.3940 [1 per cell]
33 O 0.7169 0.9789 0.7371 [1 per cell]
34 O 0.7664 0.9806 0.2953 [1 per cell]
35 O 0.8078 0.2340 0.1194 [1 per cell]
36 O 0.8135 0.5242 0.7573 [1 per cell]
37 O 0.9060 0.7653 0.5700 [1 per cell]
38 O 0.9134 0.7457 0.1434 [1 per cell]
39 O 0.9709 0.4907 0.4696 [1 per cell]
40 O 0.9868 0.4860 0.0535 [1 per cell]

---

# 2
Starting from the GGA-PBE geometry in the Materials Project, the XRD peak list of EuCu9Sn4 was computed for CuKα.

The 10 most intense peaks (15 to 90 degrees two-theta), low angle first:
2θ (°)	intensity	(hkl)
32.22	36.9	1 1 4
32.55	30.4	2 2 2
32.66	31.8	3 1 0
35.48	93.4	2 0 4
35.78	85.7	3 1 2
43.14	58.6	2 1 5
43.49	86.0	0 0 6
43.65	100.0	4 1 1
44.32	26.6	3 3 0
69.12	25.8	4 1 7

Atomic structure:
a b c (Å): 8.6698 8.6698 12.4653
angles (deg): 90.00 90.00 90.00
Space group I4/mcm (No. 140)
Asymmetric unit:
1 Eu 0.0000 0.0000 0.2500 [4 per cell]
2 Cu 0.0000 0.5000 0.0000 [4 per cell]
3 Cu 0.0549 0.2013 0.0000 [16 per cell]
4 Cu 0.1082 0.3918 0.1739 [16 per cell]
5 Sn 0.1855 0.3145 0.3735 [16 per cell]

---

# 3
Starting from the GGA-PBE geometry in the Materials Project, the XRD peak list of CeSe2 was computed for CuKα.

The 10 most intense peaks (15 to 90 degrees two-theta), low angle first:
2θ (°)	intensity	(hkl)
25.40	46.2	2 0 1
27.73	100.0	1 1 2
30.20	29.4	2 0 2
36.73	54.2	2 1 2
36.96	88.5	2 0 3
42.58	48.5	2 1 3
43.23	42.5	1 1 4
44.35	47.1	3 1 1
48.28	28.3	4 0 0
56.78	24.4	4 1 1

Atomic structure:
a b c (Å): 8.7059 8.7059 9.5511
angles (deg): 90.00 90.00 120.00
Space group P6_222 (No. 180)
Asymmetric unit:
1 Ce 0.0000 0.5000 0.1667 [3 per cell]
2 Se 0.2316 0.4631 0.0000 [6 per cell]

---

# 4
Starting from the GGA-PBE geometry in the Materials Project, the XRD peak list of SnCSNF was computed for CuKα.

The 10 most intense peaks (15 to 90 degrees two-theta), low angle first:
2θ (°)	intensity	(hkl)
18.23	100.0	1 0 2
24.30	88.7	1 1 1
27.33	94.5	1 1 2
29.60	46.2	0 1 3
30.61	46.4	2 1 0
31.46	92.8	2 0 3
41.03	32.3	0 2 0
42.90	31.5	3 1 2
43.35	49.4	1 1 5
52.60	38.0	2 2 3

Atomic structure:
a b c (Å): 7.8125 4.3991 12.4422
angles (deg): 90.00 90.00 90.00
Space group Pnma (No. 62)
Asymmetric unit:
1 Sn 0.1400 0.2500 0.0943 [4 per cell]
2 C 0.0691 0.7500 0.3916 [4 per cell]
3 S 0.0805 0.2500 0.6982 [4 per cell]
4 N 0.1826 0.7500 0.4550 [4 per cell]
5 F 0.0783 0.7500 0.0272 [4 per cell]

---

# 5
Starting from the GGA-PBE geometry in the Materials Project, the XRD peak list of Er7Te2Au2 was computed for CuKα.

The 10 most intense peaks (15 to 90 degrees two-theta), low angle first:
2θ (°)	intensity	(hkl)
29.52	48.9	3 1 -3
30.60	71.1	1 1 -4
32.39	83.5	1 1 4
32.50	42.8	0 0 6
32.95	37.9	6 0 -4
33.54	100.0	3 1 3
33.73	53.4	5 1 -2
34.03	85.5	5 1 0
35.64	81.0	3 1 -5
45.23	73.3	0 2 0

Atomic structure:
a b c (Å): 18.0320 4.0093 17.0629
angles (deg): 90.00 104.33 90.00
Space group C2/m (No. 12)
Asymmetric unit:
1 Er 0.0000 0.0000 0.0000 [2 per cell]
2 Er 0.0000 0.5000 0.5000 [2 per cell]
3 Er 0.0019 0.0000 0.3337 [4 per cell]
4 Er 0.0753 0.5000 0.1710 [4 per cell]
5 Er 0.1619 0.5000 0.9805 [4 per cell]
6 Er 0.1753 0.0000 0.5313 [4 per cell]
7 Er 0.1913 0.0000 0.3194 [4 per cell]
8 Er 0.2194 0.0000 0.8056 [4 per cell]
9 Te 0.0648 0.0000 0.8498 [4 per cell]
10 Te 0.1334 0.5000 0.6623 [4 per cell]
11 Au 0.1193 0.5000 0.3992 [4 per cell]
12 Au 0.1714 0.0000 0.1108 [4 per cell]

---

# 6
Starting from the GGA-PBE geometry in the Materials Project, the XRD peak list of BaZn2As2 was computed for CuKα.

The 10 most intense peaks (15 to 90 degrees two-theta), low angle first:
2θ (°)	intensity	(hkl)
28.40	100.0	2 1 1
31.04	49.7	3 0 2
33.29	70.2	1 1 3
33.73	30.0	1 0 4
39.11	18.4	4 0 2
42.04	34.9	0 2 0
49.87	16.6	2 1 5
50.43	19.1	5 1 1
53.17	21.1	3 2 2
54.95	14.5	1 2 4

Atomic structure:
a b c (Å): 10.1428 4.2981 11.0137
angles (deg): 90.00 90.00 90.00
Space group Pnma (No. 62)
Asymmetric unit:
1 Ba 0.2477 0.2500 0.1747 [4 per cell]
2 Zn 0.0491 0.2500 0.8827 [4 per cell]
3 Zn 0.0986 0.2500 0.4506 [4 per cell]
4 As 0.0224 0.7500 0.3399 [4 per cell]
5 As 0.1497 0.7500 0.9611 [4 per cell]

---

# 7
Starting from the GGA-PBE geometry in the Materials Project, the XRD peak list of RhC3N6Cl3 was computed for CuKα.

The 10 most intense peaks (15 to 90 degrees two-theta), low angle first:
2θ (°)	intensity	(hkl)
16.41	35.1	1 1 2
18.03	44.5	0 2 2
19.22	30.6	2 0 -2
21.91	100.0	0 1 4
24.03	37.1	1 3 0
24.54	37.0	0 3 2
28.07	42.1	3 1 0
32.03	34.9	0 1 6
36.15	29.9	4 0 -2
37.08	35.6	1 2 6

Atomic structure:
a b c (Å): 10.0257 11.9821 17.4592
angles (deg): 90.00 99.01 90.00
Space group P2_1/c (No. 14)
Asymmetric unit:
1 Rh 0.2178 0.2496 0.4442 [4 per cell]
2 C 0.1136 0.7294 0.3234 [4 per cell]
3 C 0.1203 0.6202 0.3328 [4 per cell]
4 C 0.1548 0.5218 0.3630 [4 per cell]
5 N 0.1079 0.6715 0.8155 [4 per cell]
6 N 0.1864 0.0668 0.8910 [4 per cell]
7 N 0.2326 0.1335 0.4951 [4 per cell]
8 N 0.2840 0.1570 0.1100 [4 per cell]
9 N 0.3038 0.2161 0.1597 [4 per cell]
10 N 0.4520 0.5840 0.8438 [4 per cell]
11 Cl 0.9998 0.1996 0.9617 [4 per cell]
12 Cl 0.1723 0.1999 0.3161 [4 per cell]
13 Cl 0.4387 0.2011 0.9400 [4 per cell]

---

# 8
Starting from the GGA-PBE geometry in the Materials Project, the XRD peak list of PuAl2Pd5 was computed for CuKα.

The 10 most intense peaks (15 to 90 degrees two-theta), low angle first:
2θ (°)	intensity	(hkl)
22.09	10.3	1 0 1
32.57	43.1	1 1 2
35.78	18.6	0 0 6
38.76	100.0	1 1 4
43.34	42.1	2 0 0
57.41	19.0	2 0 6
62.96	13.8	2 2 0
66.93	12.6	2 0 8
70.16	15.1	1 1 10
76.44	27.8	3 1 4

Atomic structure:
a b c (Å): 4.1756 4.1756 15.0581
angles (deg): 90.00 90.00 90.00
Space group I4/mmm (No. 139)
Asymmetric unit:
1 Pu 0.0000 0.0000 0.0000 [2 per cell]
2 Al 0.0000 0.0000 0.2524 [4 per cell]
3 Pd 0.0000 0.0000 0.5000 [2 per cell]
4 Pd 0.0000 0.5000 0.1458 [8 per cell]